(1)
Structure and simulated powder XRD pattern of TbDySi2Au2 (a crystal structure in OQMD, relaxed with PBE; Cu Kα (weighted mean of Kα1 and Kα2)).

Structure:
```
TbDySi2Au2
1.0
4.3234 0.0000 0.0000
-2.1617 3.7441 0.0000
0.0000 0.0000 7.6886
Tb Dy Si Au
1 1 2 2
direct
0.0000 0.0000 0.0000
0.0000 0.0000 0.5000
0.3333 0.6667 0.2241
0.6667 0.3333 0.7239
0.3333 0.6667 0.7651
0.6667 0.3333 0.2655
```

Principal peaks in the range 2θ from 10° to 90°, in order of falling intensity:
- d 2.682, I 100
- d 2.162, I 55
- d 3.366, I 53
- d 1.436, I 28
- d 1.683, I 25
- d 1.328, I 23
- d 2.115, I 17
- d 1.922, I 12
- d 1.819, I 10
- d 1.248, I 10

(2)
Structure and simulated powder XRD pattern of SrDyTe3Au (a crystal structure in OQMD, relaxed with PBE; Cu Kα (weighted mean of Kα1 and Kα2)).

Structure:
```
SrDyTe3Au
1.0
8.4764 0.0000 0.0000
0.0000 4.3325 0.0000
-2.9111 0.0000 10.1513
Sr Dy Te Au
2 2 6 2
direct
0.2298 0.2500 0.2874
0.7702 0.7500 0.7126
0.3143 0.7500 0.8300
0.6857 0.2500 0.1700
0.0664 0.2500 0.8527
0.2850 0.7500 0.5362
0.4189 0.7500 0.1376
0.5811 0.2500 0.8624
0.7150 0.2500 0.4638
0.9336 0.7500 0.1473
0.0944 0.2500 0.5970
0.9056 0.7500 0.4030
```

Principal peaks in the range 2θ from 10° to 90°, in order of falling intensity:
- d 2.968, I 100
- d 7.433, I 94
- d 2.715, I 63
- d 2.154, I 45
- d 2.166, I 42
- d 2.706, I 37
- d 3.017, I 36
- d 3.384, I 30
- d 2.253, I 25
- d 3.436, I 22

(3)
Structure and simulated powder XRD pattern of DyYAu6 (a crystal structure in OQMD, relaxed with PBE; Cu Kα (weighted mean of Kα1 and Kα2)).

Structure:
```
DyYAu6
1.0
5.0372 0.0000 0.0000
0.0000 6.1846 0.0000
0.0000 0.0000 5.1280
Dy Y Au
1 1 6
direct
0.0000 0.0000 0.0000
0.5000 0.5000 0.3105
0.0000 0.2574 0.4951
0.0000 0.5000 0.9870
0.0000 0.7426 0.4951
0.5000 0.0000 0.3232
0.5000 0.2423 0.8154
0.5000 0.7577 0.8154
```

Principal peaks in the range 2θ from 10° to 90°, in order of falling intensity:
- d 2.344, I 100
- d 2.285, I 52
- d 2.519, I 43
- d 2.648, I 27
- d 1.418, I 21
- d 1.286, I 21
- d 1.825, I 18
- d 1.281, I 18
- d 1.496, I 17
- d 1.405, I 11

(4)
Structure and simulated powder XRD pattern of RbErGa4Au2 (a crystal structure in OQMD, relaxed with PBE; Cu Kα (weighted mean of Kα1 and Kα2)).

Structure:
```
RbErGa4Au2
1.0
6.8640 0.0000 0.0000
0.0000 4.6547 0.0000
0.0000 0.0000 10.6276
Rb Er Ga Au
2 2 8 4
direct
0.0000 0.0000 0.0000
0.0000 0.5000 0.5000
0.5000 0.0000 0.1893
0.5000 0.5000 0.6893
0.2011 0.0000 0.7126
0.2011 0.5000 0.2126
0.3115 0.0000 0.4651
0.3115 0.5000 0.9651
0.6885 0.0000 0.4651
0.6885 0.5000 0.9651
0.7989 0.0000 0.7126
0.7989 0.5000 0.2126
0.0000 0.0000 0.2884
0.0000 0.5000 0.7884
0.5000 0.0000 0.8897
0.5000 0.5000 0.3897
```

Principal peaks in the range 2θ from 10° to 90°, in order of falling intensity:
- d 2.608, I 100
- d 2.674, I 88
- d 2.178, I 60
- d 2.327, I 54
- d 2.478, I 44
- d 3.432, I 31
- d 1.391, I 29
- d 1.696, I 28
- d 2.016, I 28
- d 5.314, I 27

(5)
Structure and simulated powder XRD pattern of Gd2ErSn4Au4 (a crystal structure in OQMD, relaxed with PBE; Cu Kα (weighted mean of Kα1 and Kα2)).

Structure:
```
Gd2ErSn4Au4
1.0
-2.3075 3.6132 7.7324
2.3075 -3.6132 7.7324
2.3075 3.6132 -7.7324
Gd Er Sn Au
2 1 4 4
direct
0.1289 0.1289 0.0000
0.8711 0.8711 0.0000
0.5000 0.0000 0.5000
0.1997 0.5000 0.6997
0.2888 0.7888 0.5000
0.7112 0.2112 0.5000
0.8003 0.5000 0.3003
0.1250 0.3299 0.7951
0.4652 0.6701 0.7951
0.5348 0.3299 0.2049
0.8750 0.6701 0.2049
```

Principal peaks in the range 2θ from 10° to 90°, in order of falling intensity:
- d 2.798, I 100
- d 2.742, I 63
- d 2.307, I 50
- d 2.095, I 42
- d 2.491, I 39
- d 2.577, I 32
- d 2.182, I 29
- d 2.843, I 23
- d 1.586, I 22
- d 1.719, I 20

(6)
Structure and simulated powder XRD pattern of NdEr2Ge4Au4 (a crystal structure in OQMD, relaxed with PBE; Cu Kα (weighted mean of Kα1 and Kα2)).

Structure:
```
NdEr2Ge4Au4
1.0
-2.1665 3.5683 7.3227
2.1665 -3.5683 7.3227
2.1665 3.5683 -7.3227
Nd Er Ge Au
1 2 4 4
direct
0.0000 0.0000 0.0000
0.3736 0.8736 0.5000
0.6264 0.1264 0.5000
0.2191 0.2191 0.0000
0.3202 0.5000 0.8202
0.6798 0.5000 0.1798
0.7809 0.7809 0.0000
0.0347 0.3335 0.7012
0.3678 0.6665 0.7012
0.6322 0.3335 0.2988
0.9653 0.6665 0.2988
```

Principal peaks in the range 2θ from 10° to 90°, in order of falling intensity:
- d 2.708, I 100
- d 2.604, I 64
- d 2.399, I 46
- d 2.167, I 40
- d 1.522, I 39
- d 2.138, I 36
- d 2.441, I 25
- d 2.006, I 22
- d 3.241, I 20
- d 1.272, I 20

(7)
Structure and simulated powder XRD pattern of ErGeTeAuSe2 (a crystal structure in OQMD, relaxed with PBE; Cu Kα (weighted mean of Kα1 and Kα2)).

Structure:
```
ErGeTeAuSe2
1.0
1.9918 -6.9371 0.0000
1.9918 6.9371 0.0000
0.0000 0.0000 11.0625
Er Ge Te Au Se
2 2 2 2 4
direct
0.0000 0.0000 0.0000
0.0000 0.0000 0.5000
0.1828 0.8172 0.7500
0.8172 0.1828 0.2500
0.1122 0.8878 0.2500
0.8878 0.1122 0.7500
0.4723 0.5277 0.2500
0.5277 0.4723 0.7500
0.3576 0.6424 0.0588
0.3576 0.6424 0.4412
0.6424 0.3576 0.5588
0.6424 0.3576 0.9412
```

Principal peaks in the range 2θ from 10° to 90°, in order of falling intensity:
- d 2.650, I 100
- d 6.937, I 59
- d 2.766, I 28
- d 2.912, I 24
- d 2.106, I 23
- d 1.992, I 17
- d 1.574, I 15
- d 2.569, I 14
- d 3.148, I 12
- d 1.959, I 12

(8)
Structure and simulated powder XRD pattern of ErGeTe2AuSe (a crystal structure in OQMD, relaxed with PBE; Cu Kα (weighted mean of Kα1 and Kα2)).

Structure:
```
ErGeTe2AuSe
1.0
2.0750 -7.2570 0.0000
2.0750 7.2570 0.0000
0.0000 0.0000 10.2719
Er Ge Te Au Se
2 2 4 2 2
direct
0.0000 0.0000 0.0000
0.0000 0.0000 0.5000
0.2422 0.7578 0.7500
0.7578 0.2422 0.2500
0.3438 0.6562 0.0597
0.3438 0.6562 0.4403
0.6562 0.3438 0.5597
0.6562 0.3438 0.9403
0.4791 0.5209 0.2500
0.5209 0.4791 0.7500
0.0956 0.9044 0.2500
0.9044 0.0956 0.7500
```

Principal peaks in the range 2θ from 10° to 90°, in order of falling intensity:
- d 2.685, I 100
- d 7.257, I 38
- d 3.151, I 28
- d 3.011, I 27
- d 2.075, I 23
- d 2.158, I 21
- d 2.568, I 21
- d 1.574, I 20
- d 2.420, I 20
- d 3.097, I 12